[1]
The following is a calculated X-ray powder pattern of Tb2AsO. It was derived from a DFT-relaxed cell (PBE, Alexandria), using Cu Kα (weighted mean of Kα1 and Kα2).
No peak broadening, texture or thermal motion is included.

Top 8 peaks for 2θ = 10–90°, by intensity:
Position (°2θ)  I_rel  h k l
31.4  100  2 0 -2
28.4  41  1 1 -3
34.2  40  0 0 4
27.4  37  1 1 1
44.9  33  2 2 -2
47.1  28  0 2 4
58.7  16  2 2 -6
48.3  16  2 0 -6

Atomic structure:
```
data_Tb2AsO
_chemical_formula_sum 'Tb8 As4 O4'
_symmetry_space_group_name_H-M 'P 1 2/c 1'
_symmetry_Int_Tables_number 13
_cell_length_a 5.704
_cell_length_b 5.714
_cell_length_c 11.699
_cell_angle_alpha 90.00
_cell_angle_beta 116.34
_cell_angle_gamma 90.00
loop_
_symmetry_equiv_pos_as_xyz
'x,y,z'
'-x,-y,-z'
'-x,y,-z+1/2'
'x,-y,z+1/2'
loop_
_atom_site_label
_atom_site_fract_x
_atom_site_fract_y
_atom_site_fract_z
Tb1 0.105 0.215 0.108
Tb2 0.316 0.228 0.858
As1 0.376 0.269 0.375
O1 0.061 0.181 0.622
```

[2]
The following is a calculated X-ray powder pattern of Tl2Ga2HgCl6. It was derived from a DFT-relaxed cell (PBE, Alexandria), using Cu Kα (weighted mean of Kα1 and Kα2).
No peak broadening, texture or thermal motion is included.

Top 8 peaks for 2θ = 10–90°, by intensity:
Position (°2θ)  I_rel  h k l
13.0  100  0 1 0
22.4  96  -1 1 1
34.9  81  0 2 3
17.9  68  1 0 -1
20.4  57  0 1 -1
25.2  54  2 1 1
22.5  50  1 1 2
36.2  46  2 3 1

Atomic structure:
```
data_Tl2Ga2HgCl6
_chemical_formula_sum 'Tl2 Ga2 Hg1 Cl6'
_symmetry_space_group_name_H-M 'P -1'
_symmetry_Int_Tables_number 2
_cell_length_a 7.276
_cell_length_b 8.000
_cell_length_c 8.506
_cell_angle_alpha 65.32
_cell_angle_beta 78.73
_cell_angle_gamma 66.79
loop_
_symmetry_equiv_pos_as_xyz
'x,y,z'
'-x,-y,-z'
loop_
_atom_site_label
_atom_site_fract_x
_atom_site_fract_y
_atom_site_fract_z
Tl1 0.243 0.427 0.228
Ga1 0.123 0.953 0.892
Hg1 0.500 0.500 0.500
Cl1 0.091 0.721 0.823
Cl2 0.128 0.210 0.646
Cl3 0.437 0.792 0.994
```

[3]
The following is a calculated X-ray powder pattern of Pm5Nd8Sn. It was derived from a DFT-relaxed cell (PBE, Alexandria), using Cu Kα (weighted mean of Kα1 and Kα2).
No peak broadening, texture or thermal motion is included.

Top 8 peaks for 2θ = 10–90°, by intensity:
Position (°2θ)  I_rel  h k l
28.3  100  3 1 0
34.0  51  1 2 3
28.7  45  1 0 3
33.6  35  3 2 1
33.7  34  3 1 2
53.8  17  5 0 3
44.6  15  2 4 2
58.4  15  6 2 0

Atomic structure:
```
data_Pm5Nd8Sn
_chemical_formula_sum 'Pm10 Nd16 Sn2'
_symmetry_space_group_name_H-M 'I -4'
_symmetry_Int_Tables_number 82
_cell_length_a 9.989
_cell_length_b 9.989
_cell_length_c 9.816
_cell_angle_alpha 90.00
_cell_angle_beta 90.00
_cell_angle_gamma 90.00
loop_
_symmetry_equiv_pos_as_xyz
'x,y,z'
'y,-x,-z'
'-x,-y,z'
'-y,x,-z'
'x+1/2,y+1/2,z+1/2'
'y+1/2,-x+1/2,-z+1/2'
'-x+1/2,-y+1/2,z+1/2'
'-y+1/2,x+1/2,-z+1/2'
loop_
_atom_site_label
_atom_site_fract_x
_atom_site_fract_y
_atom_site_fract_z
Pm1 0.000 0.000 0.000
Pm2 0.101 0.208 0.393
Nd1 0.062 0.339 0.053
Nd2 0.096 0.199 0.731
Sn1 0.000 0.500 0.750
```